[1]
Diffraction record for Ca3Cr. The X-ray powder pattern is simulated, not measured: it uses a DFT-relaxed cell (GGA-PBE, Alexandria) and copper Kα.
Neutral-atom scattering factors, no anomalous dispersion.

Structural model:
```
data_Ca3Cr
_chemical_formula_sum 'Ca3 Cr1'
_symmetry_space_group_name_H-M 'P -6 m 2'
_symmetry_Int_Tables_number 187
_symmetry_space_group_name_Hall 'P -6 2'
_cell_length_a 3.8099
_cell_length_b 3.8099
_cell_length_c 11.2645
_cell_angle_alpha 90.00
_cell_angle_beta 90.00
_cell_angle_gamma 120.00
loop_
_atom_site_label
_atom_site_fract_x
_atom_site_fract_y
_atom_site_fract_z
Ca1 0.0000 0.0000 0.0000
Ca2 0.3333 0.6667 0.2873
Cr1 0.0000 0.0000 0.5000
```

Largest 10 diffraction maxima, in order of rising 2θ, 10 to 90 degrees two-theta:
2θ = 27.0°, I 28, hkl 1 0 0; 2θ = 31.4°, I 100, hkl 1 0 2; 2θ = 31.8°, I 16, hkl 0 0 4; 2θ = 36.2°, I 11, hkl 1 0 3; 2θ = 42.2°, I 13, hkl 1 0 4; 2θ = 47.7°, I 21, hkl 1 1 0; 2θ = 56.4°, I 8, hkl 1 0 6; 2θ = 58.3°, I 14, hkl 2 0 2; 2θ = 58.5°, I 14, hkl 1 1 4; 2θ = 78.6°, I 11, hkl 2 1 2


[2]
Diffraction record for AcSiNi3. The X-ray powder pattern is simulated, not measured: it uses a DFT-relaxed cell (GGA-PBE, Alexandria) and copper Kα.
Neutral-atom scattering factors, no anomalous dispersion.

Structural model:
```
data_AcSiNi3
_chemical_formula_sum 'Ac4 Si4 Ni12'
_symmetry_space_group_name_H-M 'P 63/m m c'
_symmetry_Int_Tables_number 194
_symmetry_space_group_name_Hall '-P 6c 2c'
_cell_length_a 5.8243
_cell_length_b 5.8243
_cell_length_c 11.6136
_cell_angle_alpha 90.00
_cell_angle_beta 90.00
_cell_angle_gamma 120.00
loop_
_atom_site_label
_atom_site_fract_x
_atom_site_fract_y
_atom_site_fract_z
Ac1 0.0000 0.0000 0.0000
Ac2 0.3333 0.6667 0.2500
Si1 0.3333 0.6667 0.6388
Ni1 0.0000 0.5000 0.0000
Ni2 0.1394 0.2789 0.7500
```

Largest 10 diffraction maxima, in order of rising 2θ, 10 to 90 degrees two-theta:
2θ = 19.2°, I 19, hkl 1 0 1; 2θ = 23.4°, I 37, hkl 1 0 2; 2θ = 30.8°, I 87, hkl 0 0 4; 2θ = 36.5°, I 29, hkl 2 0 1; 2θ = 38.9°, I 100, hkl 2 0 2; 2θ = 42.8°, I 35, hkl 2 0 3; 2θ = 50.4°, I 25, hkl 2 1 2; 2θ = 60.3°, I 26, hkl 2 0 6; 2θ = 63.9°, I 25, hkl 2 2 0; 2θ = 72.6°, I 21, hkl 2 2 4